# 1
Starting from a crystal structure in Alexandria, relaxed with GGA-PBE, the X-ray diffraction stick pattern of Ag2Te2F was simulated for Cu Kα X-rays.

abc: 5.294 5.304 5.536
angles: 71.98 61.91 64.65
Space group P1 (No. 1)
Unique sites:
Ag: 0.000 0.000 0.000 x1
Ag: 0.427 0.634 0.573 x1
Te: 0.035 0.187 0.413 x1
Te: 0.465 0.488 0.104 x1
F: 0.805 0.717 0.884 x1

Peak list (6 most intense, 2θ = 10–80°, sorted by position)
- (1 1 0), 22.5 deg, rel. 100
- (1 -1 0), 32.1 deg, rel. 54
- (1 1 2), 33.2 deg, rel. 50
- (1 -1 1), 34.2 deg, rel. 25
- (0 2 1), 40.0 deg, rel. 22
- (2 0 0), 41.1 deg, rel. 26

***

# 2
Starting from a crystal structure in Alexandria, relaxed with GGA-PBE, the X-ray diffraction stick pattern of Ag2Te2F was simulated for Cu Kα X-rays.

abc: 6.198 6.953 7.377
angles: 112.43 95.90 111.34
Space group P1 (No. 1)
Unique sites:
Ag: 0.000 0.000 0.000 x1
Ag: 0.178 0.871 0.319 x1
Ag: 0.469 0.744 0.839 x1
Ag: 0.713 0.408 0.332 x1
Te: 0.473 0.693 0.441 x1
Te: 0.728 0.570 0.012 x1
Te: 0.967 0.470 0.702 x1
Te: 0.968 0.044 0.638 x1
F: 0.096 0.357 0.277 x1
F: 0.412 0.034 0.114 x1

Peak list (6 most intense, 2θ = 10–80°, sorted by position)
- (0 1 0), 15.3 deg, rel. 54
- (-1 1 1), 23.0 deg, rel. 74
- (1 1 0), 26.7 deg, rel. 100
- (1 0 -2), 27.5 deg, rel. 65
- (0 2 -3), 38.9 deg, rel. 56
- (1 -3 2), 40.4 deg, rel. 73

***

# 3
Starting from a crystal structure in Alexandria, relaxed with GGA-PBE, the X-ray diffraction stick pattern of Ag2Te2F was simulated for Cu Kα X-rays.

abc: 10.579 7.358 6.196
angles: 90.00 90.37 90.00
Space group Cc (No. 9)
Unique sites:
Ag: 0.000 0.053 0.000 x4
Ag: 0.319 0.130 0.568 x4
Te: 0.204 0.453 0.674 x4
Te: 0.458 0.194 0.168 x4
F: 0.169 0.068 0.255 x4

Peak list (6 most intense, 2θ = 10–80°, sorted by position)
- (1 1 1), 20.6 deg, rel. 95
- (3 1 0), 28.1 deg, rel. 94
- (0 0 2), 28.8 deg, rel. 66
- (2 2 -1), 33.0 deg, rel. 64
- (1 3 0), 37.6 deg, rel. 48
- (3 1 -2), 40.5 deg, rel. 100

***

# 4
Starting from a crystal structure in Alexandria, relaxed with GGA-PBE, the X-ray diffraction stick pattern of Ag2Te2F was simulated for Cu Kα X-rays.

abc: 4.949 6.171 8.232
angles: 91.45 90.32 98.72
Space group P1 (No. 1)
Unique sites:
Ag: 0.000 0.000 0.000 x1
Ag: 0.157 0.354 0.247 x1
Ag: 0.528 0.371 0.540 x1
Ag: 0.756 0.577 0.841 x1
Te: 0.034 0.251 0.718 x1
Te: 0.278 0.629 0.986 x1
Te: 0.628 0.109 0.254 x1
Te: 0.747 0.831 0.509 x1
F: 0.051 0.735 0.362 x1
F: 0.416 0.918 0.632 x1

Peak list (6 most intense, 2θ = 10–80°, sorted by position)
- (1 0 -1), 21.0 deg, rel. 92
- (0 1 -2), 25.8 deg, rel. 98
- (1 1 1), 27.5 deg, rel. 100
- (2 -1 0), 37.5 deg, rel. 61
- (1 -2 2), 38.7 deg, rel. 70
- (-1 2 2), 39.4 deg, rel. 68

***

# 5
Starting from a crystal structure in Alexandria, relaxed with GGA-PBE, the X-ray diffraction stick pattern of Ag2Te2F was simulated for Cu Kα X-rays.

abc: 5.726 6.317 6.588
angles: 88.21 86.32 89.19
Space group P1 (No. 1)
Unique sites:
Ag: 0.000 0.000 0.000 x1
Ag: 0.047 0.220 0.591 x1
Ag: 0.413 0.130 0.261 x1
Ag: 0.509 0.530 0.033 x1
Te: 0.041 0.393 0.155 x1
Te: 0.082 0.645 0.750 x1
Te: 0.560 0.125 0.670 x1
Te: 0.597 0.683 0.614 x1
F: 0.102 0.835 0.464 x1
F: 0.640 0.854 0.141 x1

Peak list (6 most intense, 2θ = 10–80°, sorted by position)
- (0 0 2), 27.1 deg, rel. 58
- (0 2 1), 31.1 deg, rel. 85
- (2 0 0), 31.3 deg, rel. 100
- (1 -1 2), 34.2 deg, rel. 72
- (1 1 -2), 35.6 deg, rel. 65
- (-2 2 1), 45.6 deg, rel. 57

***

# 6
Starting from a crystal structure in Alexandria, relaxed with GGA-PBE, the X-ray diffraction stick pattern of Ag4TeF10 was simulated for Cu Kα X-rays.

abc: 8.841 8.841 5.558
angles: 90.00 90.00 90.00
Space group I4/m (No. 87)
Unique sites:
Ag: 0.088 0.695 0.000 x8
Te: 0.000 0.000 0.500 x2
F: 0.000 0.500 0.250 x4
F: 0.119 0.165 0.269 x16

Peak list (6 most intense, 2θ = 10–80°, sorted by position)
- (1 2 1), 27.7 deg, rel. 100
- (3 1 0), 32.0 deg, rel. 16
- (2 4 0), 45.9 deg, rel. 19
- (3 1 2), 46.0 deg, rel. 40
- (4 3 1), 54.5 deg, rel. 28
- (1 2 3), 54.7 deg, rel. 14

***

# 7
Starting from a crystal structure in Alexandria, relaxed with GGA-PBE, the X-ray diffraction stick pattern of Ag2Te2F was simulated for Cu Kα X-rays.

abc: 6.290 6.467 6.951
angles: 66.11 84.99 68.80
Space group P1 (No. 1)
Unique sites:
Ag: 0.000 0.000 0.000 x1
Ag: 0.061 0.926 0.555 x1
Ag: 0.407 0.906 0.252 x1
Ag: 0.631 0.375 0.290 x1
Te: 0.067 0.468 0.636 x1
Te: 0.097 0.363 0.265 x1
Te: 0.421 0.769 0.905 x1
Te: 0.566 0.175 0.731 x1
F: 0.701 0.592 0.571 x1
F: 0.731 0.015 0.229 x1

Peak list (6 most intense, 2θ = 10–80°, sorted by position)
- (1 1 -1), 25.8 deg, rel. 68
- (1 1 2), 28.3 deg, rel. 80
- (1 2 0), 30.5 deg, rel. 100
- (2 0 0), 30.6 deg, rel. 92
- (-1 1 2), 32.3 deg, rel. 54
- (2 3 2), 45.9 deg, rel. 56

***

# 8
Starting from a crystal structure in Alexandria, relaxed with GGA-PBE, the X-ray diffraction stick pattern of Ag2Te2F was simulated for Cu Kα X-rays.

abc: 4.639 6.316 8.966
angles: 80.93 75.70 71.09
Space group P1 (No. 1)
Unique sites:
Ag: 0.000 0.000 0.000 x1
Ag: 0.136 0.401 0.650 x1
Ag: 0.506 0.656 0.345 x1
Ag: 0.786 0.107 0.620 x1
Te: 0.097 0.373 0.354 x1
Te: 0.438 0.274 0.902 x1
Te: 0.554 0.709 0.830 x1
Te: 0.916 0.935 0.327 x1
F: 0.305 0.766 0.650 x1
F: 0.759 0.656 0.021 x1

Peak list (6 most intense, 2θ = 10–80°, sorted by position)
- (0 0 2), 20.5 deg, rel. 38
- (1 -1 0), 29.0 deg, rel. 51
- (1 -1 1), 29.8 deg, rel. 34
- (0 0 3), 31.0 deg, rel. 49
- (1 2 0), 31.0 deg, rel. 100
- (1 2 3), 38.9 deg, rel. 44

***

# 9
Starting from a crystal structure in Alexandria, relaxed with GGA-PBE, the X-ray diffraction stick pattern of AgTe2F11 was simulated for Cu Kα X-rays.

abc: 10.292 10.212 9.697
angles: 90.00 90.00 90.00
Space group Ima2 (No. 46)
Unique sites:
Ag: 0.000 0.000 0.000 x4
Te: 0.250 0.179 0.569 x4
Te: 0.250 0.723 0.784 x4
F: 0.111 0.621 0.681 x8
F: 0.116 0.644 0.343 x8
F: 0.121 0.097 0.672 x8
F: 0.122 0.235 0.964 x8
F: 0.250 0.042 0.441 x4
F: 0.250 0.179 0.190 x4
F: 0.250 0.677 0.118 x4

Peak list (6 most intense, 2θ = 10–80°, sorted by position)
- (2 0 0), 17.2 deg, rel. 24
- (2 1 1), 21.4 deg, rel. 93
- (1 1 2), 22.1 deg, rel. 100
- (2 2 0), 24.6 deg, rel. 61
- (2 0 2), 25.3 deg, rel. 26
- (2 3 3), 42.3 deg, rel. 25

***

# 10
Starting from a crystal structure in Alexandria, relaxed with GGA-PBE, the X-ray diffraction stick pattern of Ti3AgF was simulated for Cu Kα X-rays.

abc: 4.232 4.232 4.232
angles: 90.00 90.00 90.00
Space group Pm-3m (No. 221)
Unique sites:
Ti: 0.000 0.000 0.500 x3
Ag: 0.500 0.500 0.500 x1
F: 0.000 0.000 0.000 x1

Peak list (6 most intense, 2θ = 10–80°, sorted by position)
- (1 1 0), 29.9 deg, rel. 35
- (1 1 1), 36.8 deg, rel. 100
- (2 0 0), 42.7 deg, rel. 65
- (2 1 1), 53.0 deg, rel. 13
- (2 2 0), 62.0 deg, rel. 39
- (3 1 1), 74.3 deg, rel. 34

***

# 11
Starting from a crystal structure in Alexandria, relaxed with GGA-PBE, the X-ray diffraction stick pattern of TiAg3F7 was simulated for Cu Kα X-rays.

abc: 7.3810 7.3810 9.8221
angles: 90.00 90.00 120.00
Space group R3m (No. 160, hexagonal axes)
Unique sites:
Ti: 0.0000 0.0000 0.0000 x3
Ag: 0.1934 0.3869 0.2891 x9
F: 0.0000 0.0000 0.1967 x3
F: 0.0371 0.5185 0.7137 x9
F: 0.2153 0.4307 0.5319 x9

Peak list (6 most intense, 2θ = 10–80°, sorted by position)
- (0 0 3), 27.2 deg, rel. 39
- (0 2 1), 29.4 deg, rel. 100
- (2 0 2), 33.5 deg, rel. 28
- (2 1 1), 38.4 deg, rel. 31
- (0 2 4), 46.6 deg, rel. 39
- (2 2 0), 49.4 deg, rel. 22

***

# 12
Starting from a crystal structure in Alexandria, relaxed with GGA-PBE, the X-ray diffraction stick pattern of Ti2AgF11 was simulated for Cu Kα X-rays.

abc: 7.710 10.169 10.437
angles: 90.00 90.00 90.00
Space group Ibam (No. 72)
Unique sites:
Ti: 0.055 0.191 0.000 x8
Ag: 0.000 0.500 0.250 x4
F: 0.000 0.000 0.000 x4
F: 0.006 0.366 0.116 x16
F: 0.153 0.143 0.148 x16
F: 0.186 0.196 0.500 x8

Peak list (6 most intense, 2θ = 10–80°, sorted by position)
- (1 1 0), 14.4 deg, rel. 33
- (1 1 2), 22.4 deg, rel. 100
- (2 0 0), 23.1 deg, rel. 51
- (0 2 2), 24.4 deg, rel. 60
- (1 3 0), 28.8 deg, rel. 29
- (1 3 4), 45.4 deg, rel. 26